(1)
Diffraction record for Gd2TiZnO6. The XRD peak list is simulated, not measured: it uses a cell relaxed with GGA-PBE and copper Kα.
Kinematic intensities with the Lorentz-polarization factor, no thermal factor.

Structure:
```
Gd2TiZnO6
1.0
5.3990 0.0000 0.0000
0.0000 5.7300 0.0000
-5.3217 0.0000 7.7355
Gd Ti Zn O
4 2 2 12
direct
0.2296 0.0690 0.2476 Gd
0.2296 0.4310 0.7476 Gd
0.7704 0.5690 0.2524 Gd
0.7704 0.9310 0.7524 Gd
0.5000 0.0000 0.0000 Ti
0.5000 0.5000 0.5000 Ti
0.0000 0.0000 0.5000 Zn
0.0000 0.5000 0.0000 Zn
0.1494 0.1834 0.9464 O
0.1494 0.3166 0.4464 O
0.2580 0.7077 0.9385 O
0.2580 0.7923 0.4385 O
0.3707 0.0414 0.7579 O
0.3707 0.4586 0.2579 O
0.6293 0.5414 0.7421 O
0.6293 0.9586 0.2421 O
0.7420 0.2077 0.5615 O
0.7420 0.2923 0.0615 O
0.8506 0.6834 0.5536 O
0.8506 0.8166 0.0536 O
```

Top 8 peaks for 2θ from 10° to 90°, low angle first:
- 22.6°, I 36
- 31.2°, I 36
- 32.4°, I 100
- 32.6°, I 100
- 33.2°, I 49
- 33.4°, I 29
- 46.2°, I 34
- 59.1°, I 34

(2)
Diffraction record for GdTmO3. The XRD peak list is simulated, not measured: it uses a cell relaxed with GGA-PBE and copper Kα.
Kinematic intensities with the Lorentz-polarization factor, no thermal factor.

Structure:
```
GdTmO3
1.0
5.9498 0.0000 0.0000
0.0000 8.3335 0.0000
0.0000 0.0000 5.6914
Gd Tm O
4 4 12
direct
0.0531 0.2500 0.0133 Gd
0.4469 0.7500 0.5133 Gd
0.5531 0.2500 0.4867 Gd
0.9469 0.7500 0.9867 Gd
0.0000 0.0000 0.5000 Tm
0.0000 0.5000 0.5000 Tm
0.5000 0.0000 0.0000 Tm
0.5000 0.5000 0.0000 Tm
0.0689 0.7500 0.3621 O
0.1838 0.5713 0.8199 O
0.1838 0.9287 0.8199 O
0.3162 0.0713 0.3199 O
0.3162 0.4287 0.3199 O
0.4311 0.2500 0.8621 O
0.5689 0.7500 0.1379 O
0.6838 0.5713 0.6801 O
0.6838 0.9287 0.6801 O
0.8162 0.0713 0.1801 O
0.8162 0.4287 0.1801 O
0.9311 0.2500 0.6379 O
```

Top 8 peaks for 2θ from 10° to 90°, low angle first:
- 30.0°, I 22
- 30.5°, I 100
- 31.4°, I 23
- 43.4°, I 12
- 44.0°, I 18
- 53.7°, I 26
- 55.4°, I 22
- 63.6°, I 13

(3)
Diffraction record for Gd5Y3O12. The XRD peak list is simulated, not measured: it uses a cell relaxed with GGA-PBE and copper Kα.
Kinematic intensities with the Lorentz-polarization factor, no thermal factor.

Structure:
```
Gd5Y3O12
1.0
-5.4005 5.4007 5.4044
5.4005 -5.4007 5.4044
5.4005 5.4007 -5.4044
Gd Y O
10 6 24
direct
0.0320 0.7500 0.7820 Gd
0.2182 0.4682 0.7500 Gd
0.2500 0.2824 0.0324 Gd
0.2818 0.0318 0.2500 Gd
0.4680 0.2500 0.7180 Gd
0.5325 0.7500 0.2825 Gd
0.7165 0.9665 0.7500 Gd
0.7500 0.2176 0.4676 Gd
0.7835 0.5335 0.2500 Gd
0.9675 0.2500 0.2175 Gd
0.0005 0.5013 0.0011 Y
0.0002 0.9994 0.4989 Y
0.2500 0.7833 0.5333 Y
0.4995 0.5006 0.5008 Y
0.4998 0.9987 0.9992 Y
0.7500 0.7167 0.9667 Y
0.0108 0.2373 0.4686 O
0.0292 0.7693 0.0419 O
0.0443 0.5339 0.2713 O
0.2275 0.9873 0.4581 O
0.2313 0.2627 0.2735 O
0.2373 0.2267 0.7685 O
0.2627 0.0312 0.9894 O
0.2687 0.5422 0.0314 O
0.2725 0.7307 0.7599 O
0.4557 0.7270 0.4896 O
0.4708 0.5127 0.7401 O
0.4892 0.9578 0.2265 O
0.5089 0.0405 0.7724 O
0.5320 0.4903 0.2636 O
0.5418 0.2733 0.5106 O
0.7268 0.2684 0.2364 O
0.7319 0.4595 0.9684 O
0.7374 0.9661 0.0104 O
0.7626 0.7730 0.2287 O
0.7681 0.7365 0.7276 O
0.7732 0.0097 0.5417 O
0.9582 0.4688 0.7315 O
0.9680 0.2316 0.9583 O
0.9911 0.7635 0.5316 O
```

Top 8 peaks for 2θ from 10° to 90°, low angle first:
- 20.1°, I 14
- 28.6°, I 100
- 33.2°, I 32
- 42.7°, I 11
- 47.6°, I 39
- 56.5°, I 30
- 57.9°, I 8
- 76.9°, I 8

(4)
Diffraction record for GdZrO3. The XRD peak list is simulated, not measured: it uses a cell relaxed with GGA-PBE and copper Kα.
Kinematic intensities with the Lorentz-polarization factor, no thermal factor.

Structure:
```
GdZrO3
1.0
4.1623 0.0000 0.0000
0.0000 4.1623 0.0000
0.0000 0.0000 4.1623
Gd Zr O
1 1 3
direct
0.0000 0.0000 0.0000 Gd
0.5000 0.5000 0.5000 Zr
0.0000 0.5000 0.5000 O
0.5000 0.0000 0.5000 O
0.5000 0.5000 0.0000 O
```

Top 8 peaks for 2θ from 10° to 90°, low angle first:
- 30.4°, I 100
- 37.4°, I 9
- 43.5°, I 30
- 54.0°, I 40
- 63.2°, I 19
- 71.7°, I 17
- 79.8°, I 6
- 87.7°, I 21

(5)
Diffraction record for GdSi2Os2. The XRD peak list is simulated, not measured: it uses a cell relaxed with GGA-PBE and copper Kα.
Kinematic intensities with the Lorentz-polarization factor, no thermal factor.

Structure:
```
GdSi2Os2
1.0
-2.0920 2.0920 4.8775
2.0920 -2.0920 4.8775
2.0920 2.0920 -4.8775
Gd Si Os
1 2 2
direct
0.0000 0.0000 0.0000 Gd
0.3710 0.3710 0.0000 Si
0.6290 0.6290 0.0000 Si
0.2500 0.7500 0.5000 Os
0.7500 0.2500 0.5000 Os
```

Top 8 peaks for 2θ from 10° to 90°, low angle first:
- 18.2°, I 23
- 34.9°, I 15
- 35.5°, I 100
- 36.9°, I 18
- 43.2°, I 36
- 58.1°, I 20
- 65.5°, I 18
- 74.3°, I 24

(6)
Diffraction record for GdP5. The XRD peak list is simulated, not measured: it uses a cell relaxed with GGA-PBE and copper Kα.
Kinematic intensities with the Lorentz-polarization factor, no thermal factor.

Structure:
```
GdP5
1.0
4.9303 0.0000 0.0000
0.0000 9.5164 0.0000
-1.1702 0.0000 5.2741
Gd P
2 10
direct
0.0115 0.2500 0.3519 Gd
0.9885 0.7500 0.6481 Gd
0.2772 0.2500 0.9000 P
0.2849 0.5311 0.4036 P
0.2849 0.9689 0.4036 P
0.3818 0.5917 0.0436 P
0.3818 0.9083 0.0436 P
0.6182 0.0917 0.9564 P
0.6182 0.4083 0.9564 P
0.7151 0.0311 0.5964 P
0.7151 0.4689 0.5964 P
0.7228 0.7500 0.1000 P
```

Top 8 peaks for 2θ from 10° to 90°, low angle first:
- 19.2°, I 49
- 24.1°, I 64
- 26.3°, I 100
- 27.7°, I 38
- 29.1°, I 43
- 29.2°, I 47
- 33.0°, I 34
- 35.3°, I 48

Repeat the first record exactly.
Diffraction record for Gd2TiZnO6. The XRD peak list is simulated, not measured: it uses a cell relaxed with GGA-PBE and copper Kα.
Kinematic intensities with the Lorentz-polarization factor, no thermal factor.

Structure:
```
Gd2TiZnO6
1.0
5.3990 0.0000 0.0000
0.0000 5.7300 0.0000
-5.3217 0.0000 7.7355
Gd Ti Zn O
4 2 2 12
direct
0.2296 0.0690 0.2476 Gd
0.2296 0.4310 0.7476 Gd
0.7704 0.5690 0.2524 Gd
0.7704 0.9310 0.7524 Gd
0.5000 0.0000 0.0000 Ti
0.5000 0.5000 0.5000 Ti
0.0000 0.0000 0.5000 Zn
0.0000 0.5000 0.0000 Zn
0.1494 0.1834 0.9464 O
0.1494 0.3166 0.4464 O
0.2580 0.7077 0.9385 O
0.2580 0.7923 0.4385 O
0.3707 0.0414 0.7579 O
0.3707 0.4586 0.2579 O
0.6293 0.5414 0.7421 O
0.6293 0.9586 0.2421 O
0.7420 0.2077 0.5615 O
0.7420 0.2923 0.0615 O
0.8506 0.6834 0.5536 O
0.8506 0.8166 0.0536 O
```

Top 8 peaks for 2θ from 10° to 90°, low angle first:
- 22.6°, I 36
- 31.2°, I 36
- 32.4°, I 100
- 32.6°, I 100
- 33.2°, I 49
- 33.4°, I 29
- 46.2°, I 34
- 59.1°, I 34